Diffraction record for Tm3Bi2. The XRD peak list is simulated, not measured: it uses a crystal structure in Alexandria, relaxed with PBE and Cu Ka.
No peak broadening, texture or thermal motion is included.

Cell and atoms:
Cell: 7.8919 7.8919 7.8919 Å, 115.22 83.81 132.99°
Fractional positions:
1 Tm 0.1570 0.6524 0.8094
2 Tm 0.2500 0.2500 0.0000
3 Tm 0.3430 0.1524 0.4954
4 Tm 0.6570 0.8476 0.5046
5 Tm 0.7500 0.7500 0.0000
6 Tm 0.8430 0.3476 0.1906
7 Bi 0.1066 0.2953 0.4019
8 Bi 0.3934 0.7953 0.1887
9 Bi 0.6066 0.2047 0.8113
10 Bi 0.8934 0.7047 0.5981

Main lines, in order of rising 2θ (2θ from 10° to 80°):
two_theta	intensity
25.06	93
31.26	86
32.67	100
35.56	91
42.08	86
49.24	70



Diffraction record for TmVBi. The XRD peak list is simulated, not measured: it uses a crystal structure in Alexandria, relaxed with PBE and Cu Ka.
No peak broadening, texture or thermal motion is included.

Cell and atoms:
Cell: 6.1585 6.1585 8.2183 Å, 90.00 90.00 112.22°
Fractional positions:
1 Tm 0.1457 0.3543 0.2500
2 Tm 0.3543 0.1457 0.7500
3 Tm 0.6457 0.8543 0.2500
4 Tm 0.8543 0.6457 0.7500
5 V 0.0870 0.9130 0.4467
6 V 0.4130 0.5870 0.9467
7 V 0.5870 0.4130 0.0533
8 V 0.9130 0.0870 0.5533
9 Bi 0.1510 0.8490 0.0954
10 Bi 0.3490 0.6510 0.5954
11 Bi 0.6510 0.3490 0.4046
12 Bi 0.8490 0.1510 0.9046

Main lines, in order of rising 2θ (2θ from 10° to 80°):
two_theta	intensity
26.74	41
31.25	36
33.27	100
34.02	46
35.11	30
37.24	68



Diffraction record for YTm5Bi4. The XRD peak list is simulated, not measured: it uses a crystal structure in Alexandria, relaxed with PBE and Cu Ka.
No peak broadening, texture or thermal motion is included.

Cell and atoms:
Cell: 10.1206 10.1206 7.6132 Å, 100.91 100.91 24.88°
Fractional positions:
1 Y 0.0000 0.0000 0.0000
2 Tm 0.0000 0.0000 0.5000
3 Tm 0.3024 0.3024 0.3867
4 Tm 0.3110 0.3110 0.9141
5 Tm 0.6890 0.6890 0.0859
6 Tm 0.6976 0.6976 0.6133
7 Bi 0.1343 0.1343 0.3257
8 Bi 0.4365 0.4365 0.2229
9 Bi 0.5635 0.5635 0.7771
10 Bi 0.8657 0.8657 0.6743

Main lines, in order of rising 2θ (2θ from 10° to 80°):
two_theta	intensity
24.52	50
32.56	100
32.97	64
38.50	56
41.42	33
53.92	32



Diffraction record for Y5TmBi6. The XRD peak list is simulated, not measured: it uses a crystal structure in Alexandria, relaxed with PBE and Cu Ka.
No peak broadening, texture or thermal motion is included.

Cell and atoms:
Cell: 7.7511 7.7511 7.7488 Å, 99.60 99.60 119.99°
Fractional positions:
1 Y 0.0000 0.0000 0.0000
2 Y 0.1663 0.8337 0.5000
3 Y 0.3323 0.6677 0.0000
4 Y 0.6677 0.3323 0.0000
5 Y 0.8337 0.1663 0.5000
6 Tm 0.5000 0.5000 0.5000
7 Bi 0.0861 0.4173 0.2516
8 Bi 0.2522 0.2522 0.7492
9 Bi 0.4173 0.0861 0.2516
10 Bi 0.5827 0.9139 0.7484
11 Bi 0.7478 0.7478 0.2508
12 Bi 0.9139 0.5827 0.7484

Main lines, in order of rising 2θ (2θ from 10° to 80°):
two_theta	intensity
24.36	20
28.20	100
40.31	78
49.92	28
66.02	37
73.28	27